# Pu2ThSc4
Calculated XRD peak list, Cu Ka. Input: DFT lattice parameters and positions (PBE).
Neutral-atom scattering factors, no anomalous dispersion.

Structure:
```
Pu2ThSc4
1.0
5.578 -1.761 0.000
5.578 1.761 0.000
-0.515 0.000 8.625
Pu Th Sc
2 1 4
direct
0.189 0.189 0.463
0.811 0.811 0.537
0.000 0.000 0.000
0.271 0.271 0.839
0.454 0.454 0.314
0.546 0.546 0.686
0.729 0.729 0.161
```

Principal peaks in the range 5 to 70 degrees two-theta, in order of rising 2θ:
2θ (°)  I (rel.)
10.26  63
18.44  100
19.48  59
20.59  83
26.55  28
34.13  92
34.24  63
36.26  85
37.11  47
51.97  38

---

# Tm3Pu2Sc9
Calculated XRD peak list, Cu Ka. Input: DFT lattice parameters and positions (PBE).
Neutral-atom scattering factors, no anomalous dispersion.

Structure:
```
Tm3Pu2Sc9
1.0
6.275 3.623 5.273
-6.275 3.623 5.273
0.000 -7.246 5.273
Tm Pu Sc
6 4 18
direct
0.115 0.750 0.385
0.250 0.615 0.885
0.385 0.115 0.750
0.615 0.885 0.250
0.750 0.385 0.115
0.885 0.250 0.615
0.078 0.078 0.078
0.422 0.422 0.422
0.578 0.578 0.578
0.922 0.922 0.922
0.065 0.307 0.899
0.099 0.401 0.250
0.101 0.935 0.693
0.193 0.435 0.601
0.250 0.099 0.401
0.307 0.899 0.065
0.399 0.807 0.565
0.401 0.250 0.099
0.435 0.601 0.193
0.565 0.399 0.807
0.599 0.750 0.901
0.601 0.193 0.435
0.693 0.101 0.935
0.750 0.901 0.599
0.807 0.565 0.399
0.899 0.065 0.307
0.901 0.599 0.750
0.935 0.693 0.101
```

Principal peaks in the range 5 to 70 degrees two-theta, in order of rising 2θ:
2θ (°)  I (rel.)
13.85  38
14.11  29
22.02  28
24.57  100
31.77  36
33.23  61
34.00  41
42.40  48
50.38  22
62.18  20

---

# Tm6PuSc
Calculated XRD peak list, Cu Ka. Input: DFT lattice parameters and positions (PBE).
Neutral-atom scattering factors, no anomalous dispersion.

Structure:
```
Tm6PuSc
1.0
5.514 0.000 0.000
0.000 3.489 6.041
0.000 -3.489 6.041
Tm Pu Sc
6 1 1
direct
0.000 0.000 0.000
0.000 0.004 0.496
0.000 0.496 0.004
0.500 0.334 0.828
0.500 0.828 0.334
0.500 0.833 0.833
0.000 0.497 0.497
0.500 0.335 0.335
```

Principal peaks in the range 5 to 70 degrees two-theta, in order of rising 2θ:
2θ (°)  I (rel.)
14.66  4
21.82  6
29.57  25
32.47  25
33.83  100
44.49  17
52.46  19
58.80  21
63.07  22
63.90  16